Diffraction record for Na10Mn2O9. The X-ray diffraction stick pattern is computed, not measured: it uses a crystal structure in Alexandria, relaxed with PBE+U and Cu Kα X-rays.
Peak positions follow from Bragg's law for the DFT cell and can differ from measured ones.

Atomic structure:
a = 6.1535 Å, b = 6.2914 Å, c = 9.1935 Å
α = 91.97°, β = 91.89°, γ = 117.63°
Atoms (fractional coordinates):
Na: 0.0051 0.3148 0.4065
Na: 0.1320 0.3760 0.0805
Na: 0.1498 0.9280 0.2155
Na: 0.3565 0.0801 0.8994
Na: 0.4430 0.2377 0.5520
Na: 0.5570 0.7623 0.4480
Na: 0.6435 0.9199 0.1006
Na: 0.8502 0.0720 0.7845
Na: 0.8680 0.6240 0.9195
Na: 0.9949 0.6852 0.5935
Mn: 0.3720 0.6235 0.7507
Mn: 0.6280 0.3765 0.2493
O: 0.0000 0.0000 0.0000
O: 0.1348 0.3648 0.6434
O: 0.3118 0.6854 0.9325
O: 0.3588 0.4067 0.2992
O: 0.4102 0.9059 0.6748
O: 0.5898 0.0941 0.3252
O: 0.6412 0.5933 0.7008
O: 0.6882 0.3146 0.0675
O: 0.8652 0.6352 0.3566

The 6 most intense peaks (2θ from 5° to 70°), most intense first:
- 2θ = 33.81°, intensity 100, (-1 1 3)
- 2θ = 19.30°, intensity 60, (1 -1 1)
- 2θ = 18.17°, intensity 56, (0 1 -1)
- 2θ = 34.19°, intensity 50, (0 2 1)
- 2θ = 33.68°, intensity 47, (2 -2 0)
- 2θ = 34.90°, intensity 47, (2 0 1)